Diffraction record for Rb2CdIn6Sn. The X-ray diffraction stick pattern is theoretical, not measured: it uses a crystal structure in Alexandria, relaxed with PBE and Cu Kα X-rays.
Intensities are scaled so that the largest is 100.

Atomic structure:
Cell lengths 7.6955, 7.6955, 42.6981 Å; angles 90.00, 90.00, 120.00 degrees
Space group R-3m (No. 166, hexagonal axes)
Inequivalent atoms, fractional coordinates:
Rb 0.0000 0.0000 0.1397 [6 per cell]
Rb 0.0000 0.0000 0.3098 [6 per cell]
Cd 0.0000 0.0000 0.0000 [3 per cell]
Cd 0.0000 0.0000 0.5000 [3 per cell]
In 0.0529 0.5265 0.8821 [18 per cell]
In 0.0731 0.5366 0.7248 [18 per cell]
Sn 0.0000 0.0000 0.4129 [6 per cell]

Principal peaks in the range 15° ≤ 2θ ≤ 90°, in order of rising 2θ:
hkl 1 1 0, d 3.848, 2θ = 23.12°, intensity 36; hkl 0 1 11, d 3.354, 2θ = 26.57°, intensity 79; hkl 2 0 5, d 3.104, 2θ = 28.76°, intensity 70; hkl 0 2 7, d 2.924, 2θ = 30.57°, intensity 100; hkl 2 0 8, d 2.827, 2θ = 31.65°, intensity 44; hkl 2 1 1, d 2.515, 2θ = 35.71°, intensity 59; hkl 0 2 13, d 2.339, 2θ = 38.49°, intensity 40; hkl 0 3 6, d 2.121, 2θ = 42.64°, intensity 48; hkl 2 2 0, d 1.924, 2θ = 47.25°, intensity 53; hkl 3 0 12, d 1.884, 2θ = 48.30°, intensity 37